Diffraction record for Na2Ca4Sb3H2. The powder diffractogram is calculated, not measured: it uses a cell relaxed with GGA-PBE and Cu Kα, 1.54184 Å.
Intensities are scaled so that the largest is 1000.

Principal peaks in the range 2θ from 10° to 80°, in order of rising 2θ:
- d = 4.894 Å, rel. 824
- d = 3.534 Å, rel. 217
- d = 3.468 Å, rel. 257
- d = 2.834 Å, rel. 356
- d = 2.653 Å, rel. 1000
- d = 2.499 Å, rel. 495
- d = 2.226 Å, rel. 213
- d = 2.006 Å, rel. 163
- d = 1.874 Å, rel. 208
- d = 1.767 Å, rel. 166
- d = 1.565 Å, rel. 170
- d = 1.471 Å, rel. 303

Atomic structure:
a b c (Å): 12.5511 12.5511 12.5511
angles (deg): 157.03 157.03 32.71
Fractional coordinates of all 11 atoms:
Na1 0.2027 0.2027 0.0000
Na2 0.7973 0.7973 0.0000
Ca1 0.0859 0.5859 0.5000
Ca2 0.4141 0.9141 0.5000
Ca3 0.5859 0.0859 0.5000
Ca4 0.9141 0.4141 0.5000
Sb1 0.3341 0.3341 0.0000
Sb2 0.5000 0.5000 0.0000
Sb3 0.6659 0.6659 0.0000
H1 0.0899 0.0899 0.0000
H2 0.9101 0.9101 0.0000